# CsLiH4W2SO3
Simulated X-ray diffraction stick pattern, Cu Kα, 1.54184 Å. Input: a DFT-relaxed cell (PBE+U, Alexandria).
Neutral-atom scattering factors, no anomalous dispersion.

Cell and atoms:
Cell lengths 5.339, 5.339, 9.521 Å; angles 114.88, 114.88, 55.93 degrees
Fractional positions:
Cs 0.000 0.000 0.000
Li 0.184 0.184 0.617
H 0.056 0.599 0.186
H 0.086 0.086 0.380
H 0.599 0.056 0.186
H 0.646 0.646 0.253
W 0.484 0.484 0.315
W 0.880 0.880 0.362
S 0.544 0.544 0.710
O 0.273 0.764 0.601
O 0.407 0.407 0.752
O 0.764 0.273 0.601

Principal peaks in the range 5 to 70 degrees two-theta, in order of rising 2θ:
2θ/deg  intensity
10.57  100
21.43  64
25.83  64
32.07  30
34.01  30
34.20  39